Starting from a structure optimized by DFT (GGA-PBE), the powder diffractogram of Ba5Cd2Bi5 was computed for Cu Kα (weighted mean of Kα1 and Kα2).
No peak broadening, texture or thermal motion is included.

Peak list (12 most intense, 2θ from 5° to 70°, by angle)
| 2θ/deg | d_spacing | Rel. int. |
| --- | --- | --- |
| 22.63 | 3.929 | 22 |
| 24.20 | 3.678 | 48 |
| 25.07 | 3.552 | 47 |
| 26.97 | 3.306 | 39 |
| 27.99 | 3.188 | 18 |
| 33.58 | 2.669 | 24 |
| 34.19 | 2.622 | 100 |
| 37.26 | 2.413 | 21 |
| 38.53 | 2.337 | 21 |
| 42.87 | 2.110 | 12 |
| 56.31 | 1.634 | 20 |
| 61.22 | 1.514 | 19 |

Structural model:
a b c (Å): 21.108 21.108 21.108
angles (deg): 14.27 14.27 14.27
Fractional positions:
Ba 0.000 0.000 0.000
Ba 0.197 0.197 0.197
Ba 0.275 0.275 0.275
Ba 0.725 0.725 0.725
Ba 0.803 0.803 0.803
Cd 0.420 0.420 0.420
Cd 0.580 0.580 0.580
Bi 0.100 0.100 0.100
Bi 0.366 0.366 0.366
Bi 0.500 0.500 0.500
Bi 0.634 0.634 0.634
Bi 0.900 0.900 0.900

=====

Starting from a structure optimized by DFT (GGA-PBE), the powder diffractogram of BaCd12Bi6 was computed for Cu Kα (weighted mean of Kα1 and Kα2).
No peak broadening, texture or thermal motion is included.

Peak list (12 most intense, 2θ from 5° to 70°, by angle)
| 2θ/deg | d_spacing | Rel. int. |
| --- | --- | --- |
| 24.54 | 3.628 | 98 |
| 27.27 | 3.271 | 66 |
| 30.91 | 2.893 | 100 |
| 32.65 | 2.742 | 37 |
| 34.26 | 2.617 | 63 |
| 37.79 | 2.380 | 48 |
| 39.10 | 2.304 | 58 |
| 40.64 | 2.220 | 74 |
| 42.59 | 2.123 | 24 |
| 50.32 | 1.813 | 38 |
| 62.78 | 1.480 | 43 |
| 66.02 | 1.415 | 24 |

Structural model:
a b c (Å): 8.953 8.953 8.953
angles (deg): 108.29 108.29 108.29
Fractional positions:
Ba 0.000 0.000 0.000
Cd 0.099 0.500 0.901
Cd 0.099 0.901 0.500
Cd 0.210 0.418 0.418
Cd 0.418 0.210 0.418
Cd 0.418 0.418 0.210
Cd 0.500 0.099 0.901
Cd 0.500 0.901 0.099
Cd 0.582 0.582 0.790
Cd 0.582 0.790 0.582
Cd 0.790 0.582 0.582
Cd 0.901 0.099 0.500
Cd 0.901 0.500 0.099
Bi 0.194 0.704 0.704
Bi 0.296 0.296 0.806
Bi 0.296 0.806 0.296
Bi 0.704 0.194 0.704
Bi 0.704 0.704 0.194
Bi 0.806 0.296 0.296